Record 1
Structure and theoretical X-ray powder pattern of Tb2Ga3Hg3 (a cell relaxed with PBE; Cu Kα (weighted mean of Kα1 and Kα2)).
No peak broadening, texture or thermal motion is included.

Structure:
```
8
Lattice="6.543 0.000 0.000 -3.272 5.667 0.000 0.000 0.000 4.759" Properties=species:S:1:pos:R:3 pbc="T T T"
Tb 0.000 0.000 0.000
Tb 0.000 3.778 2.379
Ga 1.779 1.027 2.379
Ga 4.764 1.027 2.379
Ga 3.272 3.612 2.379
Hg 3.272 0.054 0.000
Hg 1.683 2.806 0.000
Hg 4.861 2.806 0.000
```

The 12 most intense peaks (10 to 80 degrees two-theta), sorted by position:
2θ (°)	I_rel
15.6	5
18.6	13
31.6	33
36.9	100
37.8	20
50.1	18
56.2	18
59.8	4
67.7	17
69.2	15
69.8	19
78.6	5

=====

Record 2
Structure and theoretical X-ray powder pattern of SrHf15O31 (a cell relaxed with PBE; Cu Kα (weighted mean of Kα1 and Kα2)).
No peak broadening, texture or thermal motion is included.

Structure:
```
47
Lattice="6.820 0.000 0.000 -0.275 7.928 0.000 -0.014 -0.006 10.337" Properties=species:S:1:pos:R:3 pbc="T T T"
Sr 0.000 0.000 0.000
Hf 0.012 0.091 5.201
Hf -0.015 3.511 4.779
Hf -0.021 3.537 9.986
Hf 1.478 6.046 7.383
Hf 1.729 1.557 2.605
Hf 1.766 1.558 7.818
Hf 1.671 6.009 2.307
Hf 3.217 4.017 5.277
Hf 3.271 4.083 0.012
Hf 3.215 7.481 9.946
Hf 3.279 7.541 4.818
Hf 5.017 2.049 2.186
Hf 4.922 5.359 2.741
Hf 5.071 2.074 7.393
Hf 5.016 5.465 7.771
O 0.090 5.022 3.221
O 0.221 2.095 1.248
O 0.136 4.942 8.481
O 0.269 1.927 6.262
O 1.235 4.834 0.719
O 1.292 4.637 5.879
O 1.216 7.596 3.729
O 1.418 7.653 8.771
O 1.895 3.003 4.055
O 1.748 7.755 1.242
O 1.734 7.887 6.206
O 1.922 2.925 9.345
O 2.877 5.540 8.855
O 3.066 2.725 1.549
O 3.088 2.650 6.707
O 3.051 5.633 3.752
O 3.663 1.038 3.420
O 3.489 5.863 6.334
O 3.552 5.852 1.236
O 3.768 1.049 8.577
O 4.705 0.591 0.914
O 4.760 3.657 3.795
O 4.883 0.645 5.941
O 4.784 3.675 8.938
O 4.959 6.737 9.247
O 5.265 3.962 1.111
O 5.278 3.867 6.245
O 5.212 6.960 3.962
O 6.345 6.623 6.665
O 6.542 1.682 3.689
O 6.616 1.813 8.739
```

The 12 most intense peaks (10 to 80 degrees two-theta), sorted by position:
2θ (°)	I_rel
24.6	11
28.4	100
31.4	41
31.5	41
34.1	25
34.7	19
35.3	22
41.0	17
50.4	21
53.8	12
55.3	14
62.7	12

=====

Record 3
Structure and theoretical X-ray powder pattern of LaGdAl2Ni4 (a cell relaxed with PBE; Cu Kα (weighted mean of Kα1 and Kα2)).
No peak broadening, texture or thermal motion is included.

Structure:
```
8
Lattice="4.187 0.000 0.000 -2.093 3.626 0.000 0.000 0.000 9.141" Properties=species:S:1:pos:R:3 pbc="T T T"
La 0.000 0.000 0.000
Gd 2.093 1.209 4.571
Al 0.000 2.417 2.389
Al 0.000 2.417 6.752
Ni 0.000 0.000 2.875
Ni 0.000 0.000 6.267
Ni 2.093 1.209 1.840
Ni 2.093 1.209 7.301
```

The 12 most intense peaks (10 to 80 degrees two-theta), sorted by position:
2θ (°)	I_rel
24.6	40
26.4	41
31.5	9
38.6	100
39.4	11
43.2	66
59.3	27
59.9	20
76.2	26
77.5	9
77.7	9
79.3	10

=====

Record 4
Structure and theoretical X-ray powder pattern of K2CuAgF6 (a cell relaxed with PBE; Cu Kα (weighted mean of Kα1 and Kα2)).
No peak broadening, texture or thermal motion is included.

Structure:
```
10
Lattice="0.000 4.119 4.119 4.119 0.000 4.119 4.119 4.119 0.000" Properties=species:S:1:pos:R:3 pbc="T T T"
K 2.059 2.059 2.059
K 6.178 6.178 6.178
Cu 0.000 0.000 0.000
Ag 4.119 4.119 4.119
F 4.119 4.119 1.945
F 4.119 1.945 4.119
F 6.292 4.119 4.119
F 1.945 4.119 4.119
F 4.119 6.292 4.119
F 4.119 4.119 6.292
```

The 12 most intense peaks (10 to 80 degrees two-theta), sorted by position:
2θ (°)	I_rel
18.7	5
21.6	47
30.7	100
36.2	5
44.0	49
48.2	4
49.5	19
54.6	36
58.2	1
63.9	27
68.3	8
72.6	16

=====

Record 5
Structure and theoretical X-ray powder pattern of Pr12Fe2I17 (a cell relaxed with PBE; Cu Kα (weighted mean of Kα1 and Kα2)).
No peak broadening, texture or thermal motion is included.

Structure:
```
31
Lattice="10.034 0.000 0.000 -4.977 10.991 0.000 -3.084 -2.189 11.522" Properties=species:S:1:pos:R:3 pbc="T T T"
Pr -2.130 1.170 4.794
Pr -2.959 4.894 3.714
Pr -0.428 2.819 1.757
Pr -4.143 5.211 11.376
Pr -5.056 8.879 10.271
Pr -2.475 6.771 8.264
Pr 4.448 2.030 3.258
Pr 7.029 -0.077 1.251
Pr 6.117 3.591 0.146
Pr 2.402 5.982 9.765
Pr 4.933 3.907 7.808
Pr 4.104 7.631 6.728
Fe -5.052 6.396 9.051
Fe 7.026 2.405 2.471
I 0.000 0.000 0.000
I -4.040 2.073 10.334
I -1.033 -0.317 7.783
I -1.971 3.903 6.710
I -3.028 7.965 5.325
I 1.077 1.522 4.260
I -0.034 5.858 2.774
I -1.068 10.069 1.808
I 2.918 3.112 0.541
I -0.944 5.689 10.981
I 3.042 -1.268 9.714
I 2.008 2.943 8.748
I 0.897 7.279 7.262
I 5.002 0.836 6.197
I 3.945 4.898 4.812
I 3.007 9.118 3.739
I 6.014 6.728 1.188
```

The 12 most intense peaks (10 to 80 degrees two-theta), sorted by position:
2θ (°)	I_rel
10.1	45
27.3	97
27.8	97
28.0	100
33.7	16
39.1	30
39.5	63
39.6	64
40.2	32
49.0	16
49.1	15
49.4	16

=====

Record 6
Structure and theoretical X-ray powder pattern of Li2Fe5 (a cell relaxed with PBE; Cu Kα (weighted mean of Kα1 and Kα2)).
No peak broadening, texture or thermal motion is included.

Structure:
```
7
Lattice="1.974 1.140 5.671 -1.974 1.140 5.671 0.000 -2.279 5.671" Properties=species:S:1:pos:R:3 pbc="T T T"
Li 0.000 0.000 3.695
Li 0.000 0.000 13.317
Fe 0.000 0.000 1.124
Fe 0.000 0.000 6.123
Fe 0.000 0.000 8.506
Fe 0.000 0.000 10.889
Fe 0.000 0.000 15.889
```

The 12 most intense peaks (10 to 80 degrees two-theta), sorted by position:
2θ (°)	I_rel
15.6	36
28.1	51
33.6	8
37.3	10
45.8	98
46.0	100
48.1	6
48.9	10
54.8	7
66.9	29
68.8	11
74.2	5

=====

Record 7
Structure and theoretical X-ray powder pattern of Gd2DySn3Pt3 (a cell relaxed with PBE; Cu Kα (weighted mean of Kα1 and Kα2)).
No peak broadening, texture or thermal motion is included.

Structure:
```
9
Lattice="4.044 0.000 0.000 0.000 6.518 3.769 0.000 -6.518 3.769" Properties=species:S:1:pos:R:3 pbc="T T T"
Gd 0.000 -3.867 3.769
Gd 0.000 3.867 3.769
Dy 0.000 0.000 4.596
Sn 2.022 -1.680 2.506
Sn 2.022 1.680 2.506
Sn 2.022 0.000 7.132
Pt 0.000 0.000 1.545
Pt 2.022 -2.158 5.299
Pt 2.022 2.158 5.299
```

The 12 most intense peaks (10 to 80 degrees two-theta), sorted by position:
2θ (°)	I_rel
23.6	14
25.9	10
32.5	81
35.4	100
36.4	33
41.5	47
43.0	39
44.8	28
59.1	17
62.7	28
66.6	35
76.5	11